Entry 1:
Li7Si2Ni3O12: calculated X-ray diffraction stick pattern (Cu Kα), based on DFT lattice parameters and positions (PBE+U).
Kinematic intensities with the Lorentz-polarization factor, no thermal factor.

Main lines, in order of falling intensity (2θ from 15° to 90°):
d [Å]  2θ (°)  intensity
4.783  18.55  100.0
2.023  44.79  55.5
2.014  45.01  27.1
1.446  64.43  21.9
2.414  37.25  21.5
1.409  66.32  13.8

Crystal structure
```
24
Lattice="2.4379 -4.2467 0.0000 2.4379 4.2467 0.0000 -1.6477 0.0000 9.5654" Properties=species:S:1:pos:R:3 pbc="T T T"
Li 0.0000 0.0000 0.0000
Li 0.7685 1.3949 2.3595
Li -0.0638 -0.0365 7.2059
Li 0.7737 -1.3779 2.3637
Li 2.4595 1.3949 7.2058
Li 3.2918 -0.0365 2.3595
Li 2.4543 -1.3778 7.2017
Si 2.4379 1.4150 0.0000
Si 2.4379 -1.4181 0.0000
Ni 1.6140 2.8499 4.7827
Ni 1.6140 -0.0060 4.7827
Ni 1.6140 -2.8032 4.7827
O 1.5306 2.6636 0.9903
O -0.0783 -0.0654 3.6669
O 0.7519 1.5249 5.8329
O 1.6973 2.6636 8.5751
O 1.8135 0.0015 1.0046
O 2.4761 1.5249 3.7325
O 0.6871 -1.4424 5.8986
O 1.4145 0.0015 8.5608
O 1.5315 -2.6690 1.0049
O 2.5409 -1.4424 3.6668
O 3.3063 -0.0654 5.8985
O 1.6965 -2.6690 8.5605
```


Entry 2:
K2V6CdCu9O26: calculated X-ray diffraction stick pattern (Cu Kα), based on DFT lattice parameters and positions (PBE+U).
Kinematic intensities with the Lorentz-polarization factor, no thermal factor.

Main lines, in order of falling intensity (2θ from 15° to 90°):
d [Å]  2θ (°)  intensity
2.816  31.77  100.0
2.764  32.39  69.9
3.111  28.69  65.9
2.698  33.21  59.3
2.042  44.36  58.7
2.464  36.47  58.7

Crystal structure
```
44
Lattice="8.3639 0.0000 0.0000 0.0000 6.2226 0.0000 -1.4586 0.0000 10.8274" Properties=species:S:1:pos:R:3 pbc="T T T"
K 0.0000 0.0000 0.0000
K -0.9151 3.1113 8.5847
V -0.4912 0.0000 6.5110
V 2.3822 0.0000 2.9685
V 1.8155 0.0000 9.6839
V 4.0797 3.1113 9.7343
V 5.0214 3.1113 5.5654
V 7.9548 3.1113 1.9862
Cd 4.7897 0.0000 8.2129
Cu 0.2381 3.1113 5.3922
Cu 2.5774 3.1113 0.2697
Cu 2.5959 3.1113 3.5714
Cu 2.4560 1.5800 6.7015
Cu 2.4560 4.6425 6.7015
Cu 4.9183 1.5619 1.8231
Cu 4.9183 4.6607 1.8231
Cu 4.8090 0.0000 4.9183
Cu 7.1670 0.0000 3.1436
O 0.6399 3.1113 0.6353
O 0.6783 0.0000 2.9439
O 0.6471 3.1113 3.4176
O 0.5194 1.4490 6.5644
O 0.5194 4.7736 6.5644
O 0.8621 1.4127 9.9589
O 0.8621 4.8098 9.9589
O 2.2271 3.1113 5.5177
O 2.9771 1.5046 2.1794
O 2.9771 4.7180 2.1794
O 2.9036 0.0000 4.6298
O 2.5573 0.0000 7.8974
O 2.9352 3.1113 8.4856
O 4.5142 0.0000 0.0086
O 4.5850 3.1113 0.6225
O 4.4888 3.1113 3.8994
O 4.4379 1.6072 6.3649
O 4.4379 4.6154 6.3649
O 5.2035 0.0000 2.9437
O 5.1175 1.7589 9.5549
O 5.1175 4.4637 9.5549
O 6.8806 1.6979 1.9300
O 6.8806 4.5247 1.9300
O 6.7630 0.0000 5.1215
O 6.7171 3.1113 5.5734
O 6.9771 0.0000 7.9482
```


Entry 3:
Mn2CrP3O12: calculated X-ray diffraction stick pattern (Cu Kα), based on DFT lattice parameters and positions (PBE+U).
Kinematic intensities with the Lorentz-polarization factor, no thermal factor.

Main lines, in order of falling intensity (2θ from 15° to 90°):
d [Å]  2θ (°)  intensity
3.651  24.38  100.0
4.325  20.53  73.1
2.675  33.49  62.5
2.497  35.97  39.1
1.896  47.97  26.9
1.826  49.96  25.4

Crystal structure
```
36
Lattice="4.3251 2.4971 6.8102 -4.3251 2.4971 6.8102 0.0000 -4.9942 6.8102" Properties=species:S:1:pos:R:3 pbc="T T T"
Mn 0.0000 0.0000 2.9588
Mn 0.0000 0.0000 7.2565
Mn 0.0000 0.0000 13.1741
Mn 0.0000 0.0000 17.4718
Cr 0.0000 0.0000 0.0000
Cr 0.0000 0.0000 10.2153
P -3.0359 -0.2642 8.5128
P -1.2891 -2.7613 11.9179
P 1.7468 -2.4971 8.5128
P -1.7468 2.4971 11.9179
P 1.2891 2.7613 8.5128
P 3.0359 0.2642 11.9179
O -3.4858 -0.9542 9.7880
O -3.6442 1.1759 8.2887
O -2.8405 -2.5680 12.1419
O -0.9165 -1.4983 6.3829
O -0.9165 -3.4959 10.6426
O 0.8037 -3.7439 8.2887
O -1.4846 -0.0709 8.7368
O -0.8393 1.5429 6.3829
O -2.5693 2.5417 10.6426
O -0.6809 -1.3212 11.6938
O 0.8037 -1.2502 8.7368
O -1.7558 0.0446 14.0477
O 1.7558 -0.0446 6.3829
O -0.8037 1.2502 11.6938
O 0.6809 1.3212 8.7368
O 2.5693 -2.5417 9.7880
O 0.8393 -1.5429 14.0477
O 1.4846 0.0709 11.6938
O -0.8037 3.7440 12.1419
O 0.9165 3.4959 9.7880
O 0.9165 1.4983 14.0477
O 2.8405 2.5680 8.2887
O 3.6442 -1.1759 12.1419
O 3.4858 0.9542 10.6426
```


Entry 4:
SrMo3P2O14: calculated X-ray diffraction stick pattern (Cu Kα), based on DFT lattice parameters and positions (PBE+U).
Kinematic intensities with the Lorentz-polarization factor, no thermal factor.

Main lines, in order of falling intensity (2θ from 15° to 90°):
d [Å]  2θ (°)  intensity
3.266  27.30  100.0
3.574  24.91  75.6
4.095  21.70  57.0
3.237  27.55  47.6
3.327  26.80  47.4
3.366  26.48  37.6

Crystal structure
```
40
Lattice="8.5395 0.0000 0.0000 0.0000 6.5328 0.0000 -4.2275 0.0000 9.9796" Properties=species:S:1:pos:R:3 pbc="T T T"
Sr -0.9513 1.6332 2.4532
Sr 5.2633 4.8996 7.5263
Mo 1.3795 4.8996 1.6872
Mo 0.1061 4.8996 4.8888
Mo -0.8508 1.6332 8.7353
Mo 5.1628 4.8996 1.2443
Mo 4.2059 1.6332 5.0907
Mo 2.9325 1.6332 8.2924
P 0.5519 1.6332 5.6061
P 2.3845 1.6332 1.9851
P 1.9275 4.8996 7.9944
P 3.7601 4.8996 4.3734
O 0.5872 4.8996 0.1568
O -1.4613 4.8996 5.6197
O -0.1485 4.8996 2.9781
O -1.8066 0.1740 8.5621
O -1.8066 3.0924 8.5621
O 1.4089 0.4230 1.9270
O 1.4089 2.8433 1.9270
O 0.2812 0.4189 4.6690
O 0.2812 2.8474 4.6690
O -0.4910 1.6332 6.7266
O 3.3630 1.6332 0.7891
O 3.2940 4.8996 1.1324
O 2.3062 4.8996 3.8484
O 1.1370 4.8996 6.6889
O 3.1750 1.6332 3.2907
O 2.0058 1.6332 6.1312
O 1.0180 1.6332 8.8471
O 0.9490 4.8996 9.1905
O 4.8030 4.8996 3.2530
O 4.0308 3.6853 5.3105
O 4.0308 6.1138 5.3105
O 2.9031 3.6894 8.0525
O 2.9031 6.1097 8.0525
O 6.1187 3.4404 1.4175
O 6.1187 6.3588 1.4175
O 4.4605 1.6332 7.0015
O 5.7733 1.6332 4.3599
O 3.7248 1.6332 9.8227
```